# 1
Structure and theoretical PXRD pattern of Li2NiAs2Pt (a DFT-relaxed cell (PBE, Alexandria); Cu Kα (λ = 1.5418 Å)).
Kinematic intensities with the Lorentz-polarization factor, no thermal factor.

Largest 8 diffraction maxima, sorted by position, 2θ from 10° to 90°:
2θ (°), intensity
14.35, 1000
17.49, 210
26.95, 451
35.41, 242
35.59, 239
43.83, 321
43.99, 406
46.31, 278

Atomic structure:
Cell lengths 7.311, 7.311, 7.311 Å; angles 135.30, 64.86, 135.57 degrees
Fractional coordinates of all 12 atoms:
Li 0.161 0.234 0.395
Li 0.339 0.734 0.073
Li 0.661 0.266 0.927
Li 0.839 0.766 0.605
Ni 0.250 0.750 0.500
Ni 0.750 0.250 0.500
As 0.125 0.718 0.843
As 0.375 0.218 0.593
As 0.625 0.782 0.407
As 0.875 0.282 0.157
Pt 0.250 0.250 0.000
Pt 0.750 0.750 0.000

# 2
Structure and theoretical PXRD pattern of LiPuNiAs2 (a DFT-relaxed cell (PBE, Alexandria); Cu Kα (λ = 1.5418 Å)).
Kinematic intensities with the Lorentz-polarization factor, no thermal factor.

Largest 8 diffraction maxima, sorted by position, 2θ from 10° to 90°:
2θ (°), intensity
13.99, 569
24.66, 270
31.84, 1000
34.10, 230
36.17, 353
37.02, 338
43.04, 596
48.32, 269

Atomic structure:
Cell lengths 6.855, 6.855, 5.399 Å; angles 90.00, 90.00, 134.89 degrees
Fractional coordinates of all 10 atoms:
Li 0.000 0.000 0.000
Li 0.500 0.500 0.000
Pu 0.250 0.750 0.773
Pu 0.750 0.250 0.227
Ni 0.250 0.250 0.500
Ni 0.750 0.750 0.500
As 0.135 0.865 0.301
As 0.365 0.635 0.301
As 0.635 0.365 0.699
As 0.865 0.135 0.699

# 3
Structure and theoretical PXRD pattern of LiPuNp2As4 (a DFT-relaxed cell (PBE, Alexandria); Cu Kα (λ = 1.5418 Å)).
Kinematic intensities with the Lorentz-polarization factor, no thermal factor.

Largest 8 diffraction maxima, sorted by position, 2θ from 10° to 90°:
2θ (°), intensity
13.36, 370
26.50, 213
26.91, 206
30.86, 1000
31.06, 492
43.67, 196
44.36, 748
54.56, 205

Atomic structure:
Cell lengths 7.037, 4.145, 7.044 Å; angles 90.00, 109.74, 90.00 degrees
Fractional coordinates of all 8 atoms:
Li 0.000 0.000 0.000
Pu 0.000 0.500 0.500
Np 0.500 0.000 0.500
Np 0.500 0.500 0.000
As 0.254 0.000 0.751
As 0.259 0.500 0.254
As 0.741 0.500 0.746
As 0.746 0.000 0.249